[1]
# Nd3S3Cl
Theoretical X-ray powder pattern, λ = 1.5418 Å (Cu Kα). Input: a crystal structure in Alexandria, relaxed with GGA-PBE.
Kinematic intensities with the Lorentz-polarization factor, no thermal factor.

Largest 12 diffraction maxima, low angle first, 2θ = 10–80°:
20.24°, I = 57.8
25.67°, I = 100.0
31.15°, I = 14.3
31.52°, I = 41.9
35.45°, I = 73.5
37.75°, I = 23.3
44.28°, I = 21.1
48.16°, I = 60.2
52.71°, I = 21.3
57.95°, I = 15.2
65.14°, I = 12.7
77.04°, I = 14.8

Structural model:
abc: 8.7728 8.7728 5.6760
angles: 90.00 90.00 120.00
Space group P6_3/m (No. 176)
Symmetry-distinct sites (fractional):
Nd  0.0311  0.3380  0.2500 [6 per cell]
S  0.0416  0.3538  0.7500 [6 per cell]
Cl  0.3333  0.6667  0.2500 [2 per cell]

[2]
# RbSrAcO3
Theoretical X-ray powder pattern, λ = 1.5418 Å (Cu Kα). Input: a crystal structure in Alexandria, relaxed with GGA-PBE.
Kinematic intensities with the Lorentz-polarization factor, no thermal factor.

Largest 12 diffraction maxima, low angle first, 2θ = 10–80°:
18.32°, I = 23.1
27.05°, I = 24.3
27.34°, I = 43.7
27.60°, I = 53.2
28.81°, I = 100.0
30.70°, I = 90.4
36.20°, I = 28.5
43.79°, I = 18.4
45.75°, I = 21.3
48.00°, I = 24.1
48.56°, I = 16.7
54.27°, I = 17.4

Structural model:
abc: 6.5940 3.9663 9.8663
angles: 90.00 100.97 90.00
Space group P2_1/m (No. 11)
Symmetry-distinct sites (fractional):
Rb  0.1332  0.2500  0.1709 [2 per cell]
Sr  0.3782  0.2500  0.8599 [2 per cell]
Ac  0.2601  0.7500  0.5400 [2 per cell]
O  0.0637  0.2500  0.6287 [2 per cell]
O  0.2901  0.7500  0.9696 [2 per cell]
O  0.4833  0.7500  0.3693 [2 per cell]